(1)
Calculated powder diffractogram of AsPb2I for Cu Kα, from a structure optimized by DFT (PBE).
Neutral-atom scattering factors, no anomalous dispersion.

Largest 10 diffraction maxima, low angle first, 10 to 90 degrees two-theta:
2θ 23.58, rel. 26; 2θ 24.42, rel. 12; 2θ 27.54, rel. 35; 2θ 29.68, rel. 100; 2θ 32.97, rel. 11; 2θ 40.93, rel. 46; 2θ 43.98, rel. 27; 2θ 51.37, rel. 22; 2θ 53.53, rel. 17; 2θ 67.68, rel. 20

```
AsPb2I
1.0
2.2049 1.2730 8.1492
-2.2049 1.2730 8.1492
0.0000 -2.5460 8.1492
As Pb I
1 2 1
direct
0.0000 0.0000 0.0000
0.4010 0.4010 0.4010
0.6039 0.6039 0.6039
0.8255 0.8255 0.8255
```



(2)
Calculated powder diffractogram of Hf3TeH2 for Cu Kα, from a structure optimized by DFT (PBE).
Neutral-atom scattering factors, no anomalous dispersion.

Largest 10 diffraction maxima, low angle first, 10 to 90 degrees two-theta:
2θ 30.89, rel. 35; 2θ 31.15, rel. 46; 2θ 31.49, rel. 37; 2θ 32.63, rel. 57; 2θ 33.76, rel. 60; 2θ 34.57, rel. 100; 2θ 36.77, rel. 53; 2θ 41.59, rel. 45; 2θ 42.53, rel. 37; 2θ 51.52, rel. 32

```
Hf3TeH2
1.0
5.6249 0.0000 0.0000
0.0000 3.5479 0.0000
-0.6013 0.0000 9.7770
Hf Te H
6 2 4
direct
0.0065 0.2500 0.3619
0.2434 0.2500 0.9143
0.4298 0.2500 0.6066
0.5702 0.7500 0.3934
0.7566 0.7500 0.0857
0.9935 0.7500 0.6381
0.2620 0.7500 0.1512
0.7380 0.2500 0.8488
0.2224 0.7500 0.8161
0.3803 0.2500 0.4025
0.6197 0.7500 0.5975
0.7776 0.2500 0.1839
```



(3)
Calculated powder diffractogram of Pr2AgHg for Cu Kα, from a structure optimized by DFT (PBE).
Neutral-atom scattering factors, no anomalous dispersion.

Largest 10 diffraction maxima, low angle first, 10 to 90 degrees two-theta:
2θ 20.11, rel. 5; 2θ 33.13, rel. 100; 2θ 39.06, rel. 3; 2θ 47.55, rel. 18; 2θ 52.12, rel. 1; 2θ 59.17, rel. 38; 2θ 69.52, rel. 12; 2θ 73.20, rel. 1; 2θ 79.20, rel. 16; 2θ 88.58, rel. 4

```
Pr2AgHg
1.0
0.0000 3.8245 3.8245
3.8245 0.0000 3.8245
3.8245 3.8245 0.0000
Pr Ag Hg
2 1 1
direct
0.2500 0.2500 0.2500
0.7500 0.7500 0.7500
0.0000 0.0000 0.0000
0.5000 0.5000 0.5000
```